1.
Structure and theoretical PXRD pattern of Ni4Pd3 (a crystal structure in Alexandria, relaxed with PBE; a wavelength of 1.5418 Å).
No peak broadening, texture or thermal motion is included.

Crystal structure
```
data_Ni4Pd3
_cell_length_a 10.9733
_cell_length_b 10.9733
_cell_length_c 2.5923
_cell_angle_alpha 90.00
_cell_angle_beta 90.00
_cell_angle_gamma 120.00
_symmetry_space_group_name_H-M 'P 63/m'
_symmetry_Int_Tables_number 176
_symmetry_space_group_name_Hall '-P 6c'
loop_
_atom_site_label
_atom_site_fract_x
_atom_site_fract_y
_atom_site_fract_z
Ni1 0.1588 0.6978 0.2500
Ni2 0.3333 0.6667 0.7500
Pd1 0.0716 0.4378 0.2500
```

Largest 10 diffraction maxima, low angle first, 5 to 70 degrees two-theta:
2θ (°), Rel. int., (hkl)
9.31, 100, 1 0 0
18.67, 5, 2 0 0
34.01, 5, 1 3 0
35.91, 6, 1 0 1
39.60, 6, 2 0 1
41.42, 15, 3 2 0
43.03, 23, 2 1 1
43.65, 19, 1 4 0
49.31, 9, 3 1 1
52.23, 7, 4 0 1

---

2.
Structure and theoretical PXRD pattern of Pm4InAuO (a crystal structure in Alexandria, relaxed with PBE; a wavelength of 1.5418 Å).
No peak broadening, texture or thermal motion is included.

Crystal structure
```
data_Pm4InAuO
_cell_length_a 6.850
_cell_length_b 15.718
_cell_length_c 6.873
_cell_angle_alpha 90.00
_cell_angle_beta 90.00
_cell_angle_gamma 90.00
_symmetry_space_group_name_H-M 'C m c m'
_symmetry_Int_Tables_number 63
_symmetry_space_group_name_Hall '-C 2c 2'
loop_
_atom_site_label
_atom_site_fract_x
_atom_site_fract_y
_atom_site_fract_z
Pm1 0.000 0.062 0.250
Pm2 0.000 0.419 0.250
Pm3 0.250 0.250 0.000
In1 0.000 0.385 0.750
Au1 0.000 0.122 0.750
O1 0.000 0.257 0.250
```

Largest 10 diffraction maxima, low angle first, 5 to 70 degrees two-theta:
2θ (°), Rel. int., (hkl)
25.97, 28, 2 0 0
28.39, 92, 2 2 0
33.98, 43, 1 5 1
34.23, 24, 0 6 0
34.71, 100, 2 4 0
37.06, 83, 2 0 2
51.33, 30, 2 6 2
53.31, 15, 0 0 4
65.24, 20, 2 4 4
65.35, 16, 4 4 2

---

3.
Structure and theoretical PXRD pattern of TbPm15Nd4 (a crystal structure in Alexandria, relaxed with PBE; a wavelength of 1.5418 Å).
No peak broadening, texture or thermal motion is included.

Crystal structure
```
data_TbPm15Nd4
_cell_length_a 5.168
_cell_length_b 5.168
_cell_length_c 25.805
_cell_angle_alpha 90.00
_cell_angle_beta 90.00
_cell_angle_gamma 90.00
_symmetry_space_group_name_H-M 'P 4/m m m'
_symmetry_Int_Tables_number 123
_symmetry_space_group_name_Hall '-P 4 2'
loop_
_atom_site_label
_atom_site_fract_x
_atom_site_fract_y
_atom_site_fract_z
Tb1 0.000 0.000 0.000
Pm1 0.000 0.500 0.099
Pm2 0.000 0.500 0.299
Pm3 0.000 0.500 0.500
Pm4 0.500 0.500 0.000
Pm5 0.500 0.500 0.199
Pm6 0.500 0.500 0.400
Nd1 0.000 0.000 0.199
Nd2 0.000 0.000 0.400
```

Largest 5 diffraction maxima, low angle first, 5 to 70 degrees two-theta:
2θ (°), Rel. int., (hkl)
29.96, 100, 1 1 5
34.73, 51, 2 0 0
49.94, 36, 2 2 0
59.34, 43, 3 1 5
62.26, 12, 2 2 10